Structure and theoretical powder XRD pattern of V7Fe2Mo2 (a DFT-relaxed cell (PBE, Alexandria); copper Kα).
Peak positions follow from Bragg's law for the DFT cell and can differ from measured ones.

Largest 12 diffraction maxima, by angle, 2θ from 15° to 90°:
Position (°2θ)  intensity  index
33.05  33  0 1 -2
38.45  24  0 2 1
38.82  60  2 0 -1
39.05  100  -1 2 1
39.70  54  0 2 -2
39.88  32  1 -2 1
42.40  27  2 0 -2
43.82  21  2 1 -2
45.55  21  1 1 -3
46.36  77  1 0 2
46.74  30  -2 1 2
49.70  23  1 3 -1

Structural model:
```
data_V7Fe2Mo2
_chemical_formula_sum 'V7 Fe2 Mo2'
_space_group_name_H-M_alt 'P -1'
_space_group_IT_number 2
_space_group_name_Hall '-P 1'
_cell_length_a 4.640
_cell_length_b 6.003
_cell_length_c 6.027
_cell_angle_alpha 102.76
_cell_angle_beta 112.62
_cell_angle_gamma 90.03
loop_
_atom_site_label
_atom_site_type_symbol
_atom_site_fract_x
_atom_site_fract_y
_atom_site_fract_z
_atom_site_occupancy
V1 V 0.000 0.000 0.000 1
V2 V 0.183 0.868 0.365 1
V3 V 0.233 0.500 0.000 1
V4 V 0.391 0.806 0.779 1
Fe1 Fe 0.395 0.169 0.790 1
Mo1 Mo 0.226 0.374 0.453 1
```

Structure and theoretical powder XRD pattern of V4Fe3Mo (a DFT-relaxed cell (PBE, Alexandria); copper Kα).
Peak positions follow from Bragg's law for the DFT cell and can differ from measured ones.

Largest 12 diffraction maxima, by angle, 2θ from 15° to 90°:
Position (°2θ)  intensity  index
24.19  2  0 1 1
29.97  2  1 0 0
30.79  3  0 1 2
43.50  100  1 1 2
43.97  24  0 2 0
44.23  23  0 0 4
62.28  8  2 0 0
64.14  14  0 2 4
79.35  7  2 2 0
79.53  7  2 0 4
80.52  14  1 3 2
80.88  13  1 1 6

Structural model:
```
data_V4Fe3Mo
_chemical_formula_sum 'V4 Fe3 Mo1'
_space_group_name_H-M_alt 'P m m m'
_space_group_IT_number 47
_space_group_name_Hall '-P 2 2'
_cell_length_a 2.982
_cell_length_b 4.118
_cell_length_c 8.191
_cell_angle_alpha 90.00
_cell_angle_beta 90.00
_cell_angle_gamma 90.00
loop_
_atom_site_label
_atom_site_type_symbol
_atom_site_fract_x
_atom_site_fract_y
_atom_site_fract_z
_atom_site_occupancy
V1 V 0.000 0.000 0.000 1
V2 V 0.000 0.000 0.500 1
V3 V 0.000 0.500 0.242 1
Fe1 Fe 0.500 0.000 0.240 1
Fe2 Fe 0.500 0.500 0.000 1
Mo1 Mo 0.500 0.500 0.500 1
```

Structure and theoretical powder XRD pattern of Fe6MoW (a DFT-relaxed cell (PBE, Alexandria); copper Kα).
Peak positions follow from Bragg's law for the DFT cell and can differ from measured ones.

Largest 12 diffraction maxima, by angle, 2θ from 15° to 90°:
Position (°2θ)  intensity  index
15.00  3  1 1 0
23.00  2  1 1 2
24.62  21  2 0 0
35.09  18  2 2 2
43.33  100  2 4 0
50.47  47  4 0 0
56.93  9  4 2 2
62.95  7  4 4 0
74.16  28  4 4 4
79.51  5  6 0 0
84.77  3  6 2 2
89.98  35  6 4 0

Structural model:
```
data_Fe6MoW
_chemical_formula_sum 'Fe48 Mo8 W8'
_space_group_name_H-M_alt 'C m m m'
_space_group_IT_number 65
_space_group_name_Hall '-C 2 2'
_cell_length_a 7.232
_cell_length_b 10.226
_cell_length_c 10.233
_cell_angle_alpha 90.00
_cell_angle_beta 90.00
_cell_angle_gamma 90.00
loop_
_atom_site_label
_atom_site_type_symbol
_atom_site_fract_x
_atom_site_fract_y
_atom_site_fract_z
_atom_site_occupancy
Fe1 Fe 0.000 0.000 0.000 1
Fe2 Fe 0.000 0.000 0.500 1
Fe3 Fe 0.000 0.250 0.250 1
Fe4 Fe 0.000 0.500 0.000 1
Fe5 Fe 0.000 0.500 0.500 1
Fe6 Fe 0.250 0.125 0.125 1
Fe7 Fe 0.250 0.125 0.375 1
Mo1 Mo 0.000 0.000 0.250 1
Mo2 Mo 0.000 0.250 0.000 1
W1 W 0.000 0.250 0.500 1
W2 W 0.000 0.500 0.250 1
```

Structure and theoretical powder XRD pattern of FeMoW (a DFT-relaxed cell (PBE, Alexandria); copper Kα).
Peak positions follow from Bragg's law for the DFT cell and can differ from measured ones.

Largest 12 diffraction maxima, by angle, 2θ from 15° to 90°:
Position (°2θ)  intensity  index
19.82  14  0 0 2
30.35  23  1 0 1
35.06  11  1 0 2
40.93  58  1 1 0
41.88  100  1 0 3
45.87  7  1 1 2
59.27  19  2 0 0
62.16  6  0 0 6
67.33  6  1 1 5
75.19  35  2 1 3
77.14  12  1 1 6
88.73  6  2 2 0

Structural model:
```
data_FeMoW
_chemical_formula_sum 'Fe2 Mo2 W2'
_space_group_name_H-M_alt 'P 4/n m m'
_space_group_IT_number 129
_cell_length_a 3.118
_cell_length_b 3.118
_cell_length_c 8.960
_cell_angle_alpha 90.00
_cell_angle_beta 90.00
_cell_angle_gamma 90.00
loop_
_space_group_symop_operation_xyz
'x,y,z'
'-x,-y,-z'
'-y+1/2,x,z'
'y+1/2,-x,-z'
'-x+1/2,-y+1/2,z'
'x+1/2,y+1/2,-z'
'y,-x+1/2,z'
'-y,x+1/2,-z'
'x+1/2,-y,-z'
'-x+1/2,y,z'
'-y,-x,-z'
'y,x,z'
'-x,y+1/2,-z'
'x,-y+1/2,z'
'y+1/2,x+1/2,-z'
'-y+1/2,-x+1/2,z'
loop_
_atom_site_label
_atom_site_type_symbol
_atom_site_fract_x
_atom_site_fract_y
_atom_site_fract_z
_atom_site_occupancy
Fe1 Fe 0.250 0.250 0.075 1
Mo1 Mo 0.250 0.250 0.412 1
W1 W 0.250 0.250 0.770 1
```

Structure and theoretical powder XRD pattern of ZrFe9Mo2 (a DFT-relaxed cell (PBE, Alexandria); copper Kα).
Peak positions follow from Bragg's law for the DFT cell and can differ from measured ones.

Largest 12 diffraction maxima, by angle, 2θ from 15° to 90°:
Position (°2θ)  intensity  index
34.57  27  1 0 7
37.79  53  1 1 0
44.12  28  0 2 1
44.63  100  1 1 6
46.64  16  0 0 12
46.75  12  0 2 4
48.24  33  2 0 5
66.20  8  2 1 7
68.25  11  3 0 0
72.52  8  1 1 15
73.03  20  0 3 6
80.78  18  2 2 0

Structural model:
```
data_ZrFe9Mo2
_chemical_formula_sum 'Zr3 Fe27 Mo6'
_space_group_name_H-M_alt 'R -3 m'
_space_group_IT_number 166
_space_group_name_Hall '-R 3 2"'
_cell_length_a 4.7588
_cell_length_b 4.7588
_cell_length_c 23.3692
_cell_angle_alpha 90.00
_cell_angle_beta 90.00
_cell_angle_gamma 120.00
loop_
_atom_site_label
_atom_site_type_symbol
_atom_site_fract_x
_atom_site_fract_y
_atom_site_fract_z
_atom_site_occupancy
Zr1 Zr 0.0000 0.0000 0.0000 1
Fe1 Fe 0.0000 0.0000 0.3336 1
Fe2 Fe 0.0000 0.0000 0.5000 1
Fe3 Fe 0.0052 0.5026 0.9132 1
Mo1 Mo 0.0000 0.0000 0.1428 1
```

Structure and theoretical powder XRD pattern of ZrFeMo (a DFT-relaxed cell (PBE, Alexandria); copper Kα).
Peak positions follow from Bragg's law for the DFT cell and can differ from measured ones.

Largest 12 diffraction maxima, by angle, 2θ from 15° to 90°:
Position (°2θ)  intensity  index
34.52  33  1 1 2
34.69  19  0 2 0
40.59  51  0 1 3
40.90  100  2 1 1
42.69  51  0 2 2
62.08  11  3 1 2
65.75  12  0 1 5
66.18  11  0 3 3
66.40  22  2 3 1
72.80  25  2 2 4
73.22  12  4 0 0
88.64  12  4 2 2

Structural model:
```
data_ZrFeMo
_chemical_formula_sum 'Zr4 Fe4 Mo4'
_space_group_name_H-M_alt 'I m m a'
_space_group_IT_number 74
_space_group_name_Hall '-I 2b 2'
_cell_length_a 5.170
_cell_length_b 5.172
_cell_length_c 7.385
_cell_angle_alpha 90.00
_cell_angle_beta 90.00
_cell_angle_gamma 90.00
loop_
_atom_site_label
_atom_site_type_symbol
_atom_site_fract_x
_atom_site_fract_y
_atom_site_fract_z
_atom_site_occupancy
Zr1 Zr 0.000 0.250 0.126 1
Fe1 Fe 0.000 0.000 0.500 1
Mo1 Mo 0.250 0.250 0.750 1
```